[1]
# Nd4Zn2In5
Simulated powder diffractogram, Cu Kα, 1.54184 Å. Input: a structure optimized by DFT (PBE).
Intensities are scaled so that the largest is 100.

Top 6 peaks for 5° ≤ 2θ ≤ 70°, most intense first:
34.85 deg, rel. 100; 31.65 deg, rel. 86; 32.56 deg, rel. 74; 33.24 deg, rel. 61; 36.48 deg, rel. 59; 36.84 deg, rel. 53

Lattice parameters (Å, degrees): 7.869 3.708 10.061 90.00 93.98 90.00
Positions (direct):
Nd1 0.174 0.000 0.375
Nd2 0.261 0.000 0.941
Nd3 0.739 0.000 0.059
Nd4 0.826 0.000 0.625
Zn1 0.058 0.500 0.128
Zn2 0.942 0.500 0.872
In1 0.183 0.500 0.665
In2 0.437 0.500 0.195
In3 0.500 0.500 0.500
In4 0.563 0.500 0.805
In5 0.817 0.500 0.335



[2]
# Na2Cu3Cl6
Simulated powder diffractogram, Cu Kα, 1.54184 Å. Input: a structure optimized by DFT (PBE).
Intensities are scaled so that the largest is 100.

Top 6 peaks for 5° ≤ 2θ ≤ 70°, most intense first:
31.27 deg, rel. 100; 23.45 deg, rel. 91; 24.40 deg, rel. 83; 13.37 deg, rel. 78; 27.09 deg, rel. 59; 46.96 deg, rel. 49

Lattice parameters (Å, degrees): 6.766 6.766 13.424 97.80 97.80 68.22
Positions (direct):
Na1 0.192 0.197 0.011
Na2 0.197 0.192 0.511
Na3 0.803 0.808 0.489
Na4 0.808 0.803 0.989
Cu1 0.063 0.677 0.227
Cu2 0.289 0.711 0.750
Cu3 0.323 0.937 0.273
Cu4 0.677 0.063 0.727
Cu5 0.711 0.289 0.250
Cu6 0.937 0.323 0.773
Cl1 0.108 0.504 0.869
Cl2 0.149 0.582 0.616
Cl3 0.172 0.790 0.378
Cl4 0.210 0.828 0.122
Cl5 0.418 0.851 0.884
Cl6 0.496 0.892 0.631
Cl7 0.504 0.108 0.369
Cl8 0.582 0.149 0.116
Cl9 0.790 0.172 0.878
Cl10 0.828 0.210 0.622
Cl11 0.851 0.418 0.384
Cl12 0.892 0.496 0.131



[3]
# Tb2PrNd2Mg
Simulated powder diffractogram, Cu Kα, 1.54184 Å. Input: a structure optimized by DFT (PBE).
Intensities are scaled so that the largest is 100.

Top 6 peaks for 5° ≤ 2θ ≤ 70°, most intense first:
29.32 deg, rel. 100; 26.31 deg, rel. 90; 31.86 deg, rel. 78; 35.37 deg, rel. 78; 40.39 deg, rel. 66; 53.17 deg, rel. 64

Lattice parameters (Å, degrees): 6.172 18.924 3.443 90.00 90.00 90.00
Positions (direct):
Tb1 0.158 0.203 0.000
Tb2 0.342 0.703 0.500
Tb3 0.658 0.297 0.500
Tb4 0.842 0.797 0.000
Pr1 0.000 0.000 0.000
Pr2 0.500 0.500 0.500
Nd1 0.158 0.362 0.500
Nd2 0.342 0.862 0.000
Nd3 0.658 0.138 0.000
Nd4 0.842 0.638 0.500
Mg1 0.000 0.500 0.000
Mg2 0.500 0.000 0.500



[4]
# Sr5Sb
Simulated powder diffractogram, Cu Kα, 1.54184 Å. Input: a structure optimized by DFT (PBE).
Intensities are scaled so that the largest is 100.

Top 6 peaks for 5° ≤ 2θ ≤ 70°, most intense first:
27.72 deg, rel. 100; 30.63 deg, rel. 23; 30.17 deg, rel. 17; 52.68 deg, rel. 16; 43.53 deg, rel. 15; 35.35 deg, rel. 14

Lattice parameters (Å, degrees): 9.243 9.243 5.839 90.00 90.00 148.11
Positions (direct):
Sr1 0.000 0.000 0.000
Sr2 0.145 0.855 0.500
Sr3 0.333 0.667 0.000
Sr4 0.667 0.333 0.000
Sr5 0.855 0.145 0.500
Sb1 0.500 0.500 0.500



[5]
# RbLaZr6FeCl18
Simulated powder diffractogram, Cu Kα, 1.54184 Å. Input: a structure optimized by DFT (PBE).
Intensities are scaled so that the largest is 100.

Top 6 peaks for 5° ≤ 2θ ≤ 70°, most intense first:
14.01 deg, rel. 100; 10.34 deg, rel. 79; 33.66 deg, rel. 69; 20.32 deg, rel. 35; 26.19 deg, rel. 30; 40.10 deg, rel. 30

Lattice parameters (Å, degrees): 9.874 9.874 18.782 90.00 90.00 120.00
Positions (direct):
Rb1 0.333 0.667 0.250
Rb2 0.667 0.333 0.750
La1 0.333 0.667 0.750
La2 0.667 0.333 0.250
Zr1 0.045 0.220 0.575
Zr2 0.045 0.825 0.925
Zr3 0.175 0.220 0.925
Zr4 0.175 0.955 0.575
Zr5 0.220 0.045 0.075
Zr6 0.220 0.175 0.425
Zr7 0.780 0.825 0.575
Zr8 0.780 0.955 0.925
Zr9 0.825 0.045 0.425
Zr10 0.825 0.780 0.075
Zr11 0.955 0.175 0.075
Zr12 0.955 0.780 0.425
Fe1 0.000 0.000 0.000
Fe2 0.000 0.000 0.500
Cl1 0.048 0.234 0.342
Cl2 0.048 0.813 0.158
Cl3 0.082 0.454 0.664
Cl4 0.082 0.628 0.836
Cl5 0.141 0.418 0.001
Cl6 0.141 0.723 0.499
Cl7 0.187 0.234 0.158
Cl8 0.187 0.952 0.342
Cl9 0.234 0.048 0.842
Cl10 0.234 0.187 0.658
Cl11 0.277 0.418 0.499
Cl12 0.277 0.859 0.001
Cl13 0.372 0.454 0.836
Cl14 0.372 0.918 0.664
Cl15 0.418 0.141 0.501
Cl16 0.418 0.277 0.999
Cl17 0.454 0.082 0.164
Cl18 0.454 0.372 0.336
Cl19 0.546 0.628 0.664
Cl20 0.546 0.918 0.836
Cl21 0.582 0.723 0.001
Cl22 0.582 0.859 0.499
Cl23 0.628 0.082 0.336
Cl24 0.628 0.546 0.164
Cl25 0.723 0.141 0.999
Cl26 0.723 0.582 0.501
Cl27 0.766 0.813 0.342
Cl28 0.766 0.952 0.158
Cl29 0.813 0.048 0.658
Cl30 0.813 0.766 0.842
Cl31 0.859 0.277 0.501
Cl32 0.859 0.582 0.999
Cl33 0.918 0.372 0.164
Cl34 0.918 0.546 0.336
Cl35 0.952 0.187 0.842
Cl36 0.952 0.766 0.658



[6]
# RbPu2Cu2Se6
Simulated powder diffractogram, Cu Kα, 1.54184 Å. Input: a structure optimized by DFT (PBE).
Intensities are scaled so that the largest is 100.

Top 6 peaks for 5° ≤ 2θ ≤ 70°, most intense first:
27.37 deg, rel. 100; 13.48 deg, rel. 91; 26.94 deg, rel. 73; 35.93 deg, rel. 60; 27.16 deg, rel. 59; 14.21 deg, rel. 53

Lattice parameters (Å, degrees): 7.459 7.630 7.755 62.58 62.94 61.14
Positions (direct):
Rb1 0.000 0.000 0.000
Pu1 0.330 0.331 0.007
Pu2 0.670 0.669 0.993
Cu1 0.434 0.686 0.568
Cu2 0.566 0.314 0.432
Se1 0.086 0.671 0.753
Se2 0.317 0.531 0.245
Se3 0.479 0.080 0.756
Se4 0.521 0.920 0.244
Se5 0.683 0.469 0.755
Se6 0.914 0.329 0.247